Structure and computed X-ray powder pattern of Tb2CoSn (a structure optimized by DFT (PBE); Cu Ka).
Intensities are scaled so that the largest is 100.

Peak list (10 most intense, 2θ = 10–90°, low angle first)
2theta, intensity
28.8, 100.0
29.3, 23.3
31.5, 46.6
34.8, 42.6
36.9, 43.4
37.1, 41.6
38.7, 45.9
40.6, 27.3
44.8, 28.3
59.9, 36.7

Cell and atoms:
```
data_Tb2CoSn
_chemical_formula_sum 'Tb8 Co4 Sn4'
_symmetry_space_group_name_H-M 'P 1'
_symmetry_Int_Tables_number 1
_cell_length_a 8.9483
_cell_length_b 8.9483
_cell_length_c 6.0998
_cell_angle_alpha 90.00
_cell_angle_beta 90.00
_cell_angle_gamma 126.26
loop_
_symmetry_equiv_pos_as_xyz
'x,y,z'
loop_
_atom_site_label
_atom_site_type_symbol
_atom_site_fract_x
_atom_site_fract_y
_atom_site_fract_z
Tb1 Tb 0.0759 0.4241 0.7500
Tb2 Tb 0.1255 0.8745 0.7596
Tb3 Tb 0.3745 0.6255 0.2596
Tb4 Tb 0.4241 0.0759 0.2500
Tb5 Tb 0.5759 0.9241 0.7500
Tb6 Tb 0.6255 0.3745 0.7404
Tb7 Tb 0.8745 0.1255 0.2404
Tb8 Tb 0.9241 0.5759 0.2500
Co1 Co 0.0526 0.9474 0.2050
Co2 Co 0.4474 0.5526 0.7050
Co3 Co 0.5526 0.4474 0.2950
Co4 Co 0.9474 0.0526 0.7950
Sn1 Sn 0.2295 0.2295 0.5000
Sn2 Sn 0.2705 0.2705 0.0000
Sn3 Sn 0.7295 0.7295 0.0000
Sn4 Sn 0.7705 0.7705 0.5000
```